This entry pairs a crystal structure of Ho3Si2Sn3Rh9 with its simulated PXRD pattern. Radiation: Cu Kα (weighted mean of Kα1 and Kα2). Structure: a structure optimized by DFT (PBE).

Atomic structure:
a b c (Å): 9.788 9.788 3.510
angles (deg): 90.00 90.00 120.00
Fractional positions:
Ho 0.000 0.400 0.000
Ho 0.400 0.000 0.000
Ho 0.600 0.600 0.000
Si 0.333 0.667 0.000
Si 0.667 0.333 0.000
Sn 0.000 0.761 0.000
Sn 0.239 0.239 0.000
Sn 0.761 0.000 0.000
Rh 0.000 0.166 0.500
Rh 0.166 0.000 0.500
Rh 0.184 0.702 0.500
Rh 0.298 0.482 0.500
Rh 0.482 0.298 0.500
Rh 0.518 0.816 0.500
Rh 0.702 0.184 0.500
Rh 0.816 0.518 0.500
Rh 0.834 0.834 0.500

Principal peaks in the range 2θ = 10–80°, in order of falling intensity:
- 2θ = 38.03°, d 2.366, intensity 100
- 2θ = 38.28°, d 2.351, intensity 42
- 2θ = 41.01°, d 2.201, intensity 29
- 2θ = 31.36°, d 2.852, intensity 23
- 2θ = 36.73°, d 2.447, intensity 19
- 2θ = 66.48°, d 1.406, intensity 16

This entry pairs a crystal structure of Sm4Ho3Rh4 with its simulated PXRD pattern. Radiation: Cu Kα (weighted mean of Kα1 and Kα2). Structure: a structure optimized by DFT (PBE).

Atomic structure:
a b c (Å): 9.478 9.478 9.478
angles (deg): 157.67 123.42 61.59
Fractional positions:
Sm 0.022 0.836 0.186
Sm 0.350 0.164 0.186
Sm 0.650 0.836 0.814
Sm 0.978 0.164 0.814
Ho 0.000 0.500 0.500
Ho 0.400 0.400 0.000
Ho 0.600 0.600 0.000
Rh 0.260 0.760 0.500
Rh 0.284 0.000 0.284
Rh 0.716 0.000 0.716
Rh 0.740 0.240 0.500

Principal peaks in the range 2θ = 10–80°, in order of falling intensity:
- 2θ = 31.96°, d 2.800, intensity 100
- 2θ = 34.38°, d 2.609, intensity 80
- 2θ = 34.20°, d 2.622, intensity 61
- 2θ = 38.77°, d 2.322, intensity 46
- 2θ = 61.84°, d 1.500, intensity 28
- 2θ = 49.67°, d 1.835, intensity 25

This entry pairs a crystal structure of SmHo3Rh3 with its simulated PXRD pattern. Radiation: Cu Kα (weighted mean of Kα1 and Kα2). Structure: a structure optimized by DFT (PBE).

Atomic structure:
a b c (Å): 6.901 6.901 6.869
angles (deg): 90.55 90.55 95.69
Fractional positions:
Sm 0.240 0.240 0.395
Sm 0.760 0.760 0.605
Ho 0.183 0.183 0.897
Ho 0.257 0.743 0.500
Ho 0.313 0.687 0.000
Ho 0.687 0.313 0.000
Ho 0.743 0.257 0.500
Ho 0.817 0.817 0.103
Rh 0.004 0.498 0.766
Rh 0.449 0.449 0.706
Rh 0.498 0.004 0.766
Rh 0.502 0.996 0.234
Rh 0.551 0.551 0.294
Rh 0.996 0.502 0.234

Principal peaks in the range 2θ = 10–80°, in order of falling intensity:
- 2θ = 36.82°, d 2.441, intensity 100
- 2θ = 35.08°, d 2.558, intensity 57
- 2θ = 38.55°, d 2.336, intensity 43
- 2θ = 32.68°, d 2.740, intensity 35
- 2θ = 38.89°, d 2.316, intensity 33
- 2θ = 37.23°, d 2.415, intensity 32

This entry pairs a crystal structure of SmHo3Rh with its simulated PXRD pattern. Radiation: Cu Kα (weighted mean of Kα1 and Kα2). Structure: a structure optimized by DFT (PBE).

Atomic structure:
a b c (Å): 7.548 6.506 6.158
angles (deg): 90.00 90.00 90.00
Fractional positions:
Sm 0.000 0.147 0.000
Sm 0.500 0.853 0.500
Ho 0.000 0.847 0.483
Ho 0.248 0.316 0.493
Ho 0.252 0.684 0.993
Ho 0.500 0.153 0.983
Ho 0.748 0.684 0.993
Ho 0.752 0.316 0.493
Rh 0.000 0.506 0.742
Rh 0.500 0.494 0.242

Principal peaks in the range 2θ = 10–80°, in order of falling intensity:
- 2θ = 31.04°, d 2.882, intensity 100
- 2θ = 40.29°, d 2.239, intensity 29
- 2θ = 52.70°, d 1.737, intensity 23
- 2θ = 29.00°, d 3.079, intensity 19
- 2θ = 48.41°, d 1.880, intensity 16
- 2θ = 58.50°, d 1.578, intensity 11

This entry pairs a crystal structure of SmHo2Rh4 with its simulated PXRD pattern. Radiation: Cu Kα (weighted mean of Kα1 and Kα2). Structure: a structure optimized by DFT (PBE).

Atomic structure:
a b c (Å): 4.682 4.682 6.686
angles (deg): 90.00 90.00 90.00
Fractional positions:
Sm 0.000 0.000 0.000
Ho 0.000 0.000 0.500
Ho 0.500 0.500 0.000
Rh 0.000 0.500 0.260
Rh 0.000 0.500 0.740
Rh 0.500 0.000 0.260
Rh 0.500 0.000 0.740

Principal peaks in the range 2θ = 10–80°, in order of falling intensity:
- 2θ = 38.26°, d 2.352, intensity 100
- 2θ = 38.45°, d 2.341, intensity 50
- 2θ = 69.43°, d 1.354, intensity 34
- 2θ = 69.04°, d 1.360, intensity 17
- 2θ = 55.51°, d 1.655, intensity 17
- 2θ = 23.19°, d 3.835, intensity 14

This entry pairs a crystal structure of Sm2Ho5Rh4 with its simulated PXRD pattern. Radiation: Cu Kα (weighted mean of Kα1 and Kα2). Structure: a structure optimized by DFT (PBE).

Atomic structure:
a b c (Å): 12.160 12.160 6.844
angles (deg): 93.00 93.00 16.87
Fractional positions:
Sm 0.087 0.087 0.157
Sm 0.913 0.913 0.843
Ho 0.134 0.134 0.679
Ho 0.233 0.233 0.219
Ho 0.500 0.500 0.500
Ho 0.767 0.767 0.781
Ho 0.866 0.866 0.321
Rh 0.028 0.028 0.799
Rh 0.331 0.331 0.021
Rh 0.669 0.669 0.979
Rh 0.972 0.972 0.201

Principal peaks in the range 2θ = 10–80°, in order of falling intensity:
- 2θ = 36.75°, d 2.445, intensity 100
- 2θ = 30.65°, d 2.917, intensity 82
- 2θ = 31.91°, d 2.804, intensity 82
- 2θ = 44.98°, d 2.016, intensity 40
- 2θ = 25.24°, d 3.529, intensity 39
- 2θ = 51.22°, d 1.784, intensity 33

This entry pairs a crystal structure of SmHoZnRh with its simulated PXRD pattern. Radiation: Cu Kα (weighted mean of Kα1 and Kα2). Structure: a structure optimized by DFT (PBE).

Atomic structure:
a b c (Å): 4.395 5.681 5.681
angles (deg): 40.09 90.00 90.00
Fractional positions:
Sm 0.000 0.000 0.000
Ho 0.500 0.720 0.720
Zn 0.500 0.429 0.429
Rh 0.000 0.281 0.281

Principal peaks in the range 2θ = 10–80°, in order of falling intensity:
- 2θ = 31.83°, d 2.812, intensity 100
- 2θ = 39.99°, d 2.255, intensity 54
- 2θ = 34.13°, d 2.627, intensity 37
- 2θ = 41.08°, d 2.197, intensity 29
- 2θ = 33.59°, d 2.668, intensity 24
- 2θ = 39.51°, d 2.281, intensity 22

This entry pairs a crystal structure of SmHoZnRh with its simulated PXRD pattern. Radiation: Cu Kα (weighted mean of Kα1 and Kα2). Structure: a structure optimized by DFT (PBE).

Atomic structure:
a b c (Å): 4.979 4.979 4.979
angles (deg): 60.00 60.00 60.00
Fractional positions:
Sm 0.000 0.000 0.000
Ho 0.500 0.500 0.500
Zn 0.750 0.750 0.750
Rh 0.250 0.250 0.250

Principal peaks in the range 2θ = 10–80°, in order of falling intensity:
- 2θ = 36.08°, d 2.490, intensity 100
- 2θ = 64.87°, d 1.437, intensity 36
- 2θ = 51.94°, d 1.760, intensity 18
- 2θ = 76.53°, d 1.245, intensity 11
- 2θ = 25.30°, d 3.521, intensity 9
- 2θ = 58.63°, d 1.575, intensity 4